Structure and computed XRD peak list of CeFe2GeO6 (a cell relaxed with PBE+U; Cu Kα (λ = 1.5418 Å)).
Intensities are scaled so that the largest is 100.

Main lines, low angle first (5 to 70 degrees two-theta):
22.9 deg, I 33
31.2 deg, I 49
31.9 deg, I 100
32.5 deg, I 94
33.9 deg, I 24
45.8 deg, I 19
46.7 deg, I 44
56.0 deg, I 17
56.4 deg, I 49
59.0 deg, I 18

Crystal structure
```
data_CeFe2GeO6
_symmetry_space_group_name_H-M 'C 1 2/m 1'
_symmetry_Int_Tables_number 12
_symmetry_space_group_name_Hall '-C 2y'
_cell_length_a 9.433
_cell_length_b 5.730
_cell_length_c 5.296
_cell_angle_alpha 90.00
_cell_angle_beta 122.77
_cell_angle_gamma 90.00
loop_
_atom_site_label
_atom_site_type_symbol
_atom_site_fract_x
_atom_site_fract_y
_atom_site_fract_z
Ce1 Ce 0.000 0.000 0.000
Fe1 Fe 0.242 0.500 0.283
Ge1 Ge 0.000 0.500 0.500
O1 O 0.084 0.268 0.358
O2 O 0.227 0.500 0.893
```